(1)
Calculated powder X-ray diffraction pattern
Compound: La2SmHo4Sc
Radiation: Cu Kα (λ = 1.5418 Å)
Structure: a structure optimized by DFT (PBE)
Intensities are scaled so that the largest is 100.

Peak list (12 most intense, 2θ = 10–80°, low angle first)
(hkl)  2theta  I_rel
0 4 0  27.18  61
4 0 0  30.29  45
4 0 -2  30.49  100
4 4 0  41.15  38
4 4 -2  41.29  79
8 0 -2  53.94  17
4 0 -4  54.27  12
8 4 -2  61.43  21
4 4 -4  61.76  12
8 0 -4  63.44  11
4 8 -2  65.17  18
8 4 -4  70.33  15

Structure:
Cell: 13.5972 13.1223 6.7586 Å, 90.00 119.78 90.00°
Space group C2/c (No. 15)
Inequivalent atoms, fractional coordinates:
La (0.0000, 0.0000, 0.0000) [4 per cell]
La (0.2500, 0.2500, 0.0000) [4 per cell]
Sm (0.2500, 0.2500, 0.5000) [4 per cell]
Ho (0.0000, 0.2650, 0.0013) [8 per cell]
Ho (0.2317, 0.4999, 0.4803) [8 per cell]
Sc (0.0000, 0.5000, 0.0000) [4 per cell]

---

(2)
Calculated powder X-ray diffraction pattern
Compound: LaTb2HoSc4
Radiation: Cu Kα (λ = 1.5418 Å)
Structure: a structure optimized by DFT (PBE)
Intensities are scaled so that the largest is 100.

Peak list (12 most intense, 2θ = 10–80°, low angle first)
(hkl)  2theta  I_rel
0 0 2  19.32  25
1 1 0  25.30  27
1 1 2  32.03  100
2 0 0  36.09  36
0 0 4  39.22  14
2 0 2  41.25  15
1 1 4  47.25  11
2 2 0  51.95  12
2 0 4  54.35  22
3 1 2  62.35  28
1 1 6  66.60  12
2 2 4  66.99  11

Structure:
Cell: 4.9781 4.9781 9.1872 Å, 90.00 90.00 90.00°
Space group P4/mmm (No. 123)
Inequivalent atoms, fractional coordinates:
La (0.0000, 0.0000, 0.0000) [1 per cell]
Tb (0.0000, 0.0000, 0.5000) [1 per cell]
Tb (0.5000, 0.5000, 0.0000) [1 per cell]
Ho (0.5000, 0.5000, 0.5000) [1 per cell]
Sc (0.0000, 0.5000, 0.2540) [4 per cell]

---

(3)
Calculated powder X-ray diffraction pattern
Compound: LaTb2Ho4Sc
Radiation: Cu Kα (λ = 1.5418 Å)
Structure: a structure optimized by DFT (PBE)
Intensities are scaled so that the largest is 100.

Peak list (12 most intense, 2θ = 10–80°, low angle first)
(hkl)  2theta  I_rel
1 1 0  25.24  3
1 1 1  26.82  2
1 1 2  31.02  100
0 0 4  35.81  17
2 0 0  36.05  33
2 0 4  51.72  24
2 2 0  51.90  12
1 1 6  61.38  14
3 1 2  61.71  28
2 2 4  64.66  12
0 0 8  75.87  2
4 0 0  76.47  4

Structure:
Cell: 4.9826 4.9826 10.0315 Å, 90.00 90.00 90.00°
Space group P4/mmm (No. 123)
Inequivalent atoms, fractional coordinates:
La (0.0000, 0.0000, 0.0000) [1 per cell]
Tb (0.0000, 0.0000, 0.5000) [1 per cell]
Tb (0.5000, 0.5000, 0.5000) [1 per cell]
Ho (0.0000, 0.5000, 0.2500) [4 per cell]
Sc (0.5000, 0.5000, 0.0000) [1 per cell]